Sr3LaGaCo2O9: simulated PXRD pattern (λ = 1.5418 Å (Cu Kα)), based on a cell relaxed with PBE+U.
Lines closer than 0.1° are merged.

Structural model:
Unit cell a=14.318 b=14.305 c=4.040 alpha=82.06 beta=81.71 gamma=16.23
Fractional positions:
Sr (0.000, 0.000, 0.000)
Sr (0.127, 0.127, 0.873)
Sr (0.726, 0.726, 0.274)
La (0.850, 0.850, 0.150)
Ga (0.572, 0.572, 0.428)
Co (0.279, 0.279, 0.721)
Co (0.415, 0.415, 0.585)
O (0.058, 0.058, 0.442)
O (0.142, 0.713, 0.287)
O (0.213, 0.213, 0.787)
O (0.289, 0.289, 0.211)
O (0.352, 0.352, 0.648)
O (0.558, 0.558, 0.942)
O (0.638, 0.638, 0.362)
O (0.713, 0.142, 0.858)
O (0.789, 0.789, 0.711)

Peak list (6 most intense, 2θ = 10–90°, by angle)
2theta, d [Å], I_rel
31.0, 2.887, 32
31.5, 2.844, 100
31.7, 2.825, 38
44.9, 2.019, 34
55.4, 1.659, 22
56.3, 1.635, 27